This entry pairs a crystal structure of Mn6FeRu5 with its calculated XRD peak list. Radiation: Cu Kα (λ = 1.5418 Å). Structure: a PBE-relaxed structure.
Lines closer than 0.1° are merged.

Structure:
```
12
Lattice="-2.103 2.969 6.296 2.103 -2.969 6.296 2.103 2.969 -6.296" Properties=species:S:1:pos:R:3 pbc="T T T"
Mn 2.103 1.452 -2.048
Mn 0.000 1.424 0.000
Mn 2.103 1.452 2.048
Mn 0.000 1.518 4.249
Mn 0.000 4.514 0.000
Mn 0.000 1.518 8.344
Fe 2.103 0.000 0.000
Ru 0.000 0.000 2.138
Ru 2.103 0.000 4.198
Ru 0.000 0.000 6.296
Ru 0.000 2.969 2.099
Ru 0.000 0.000 10.455
```

The 12 most intense peaks (15° ≤ 2θ ≤ 90°), sorted by position:
2θ (°)	I_rel
16.50	1
25.98	1
29.64	1
30.08	9
38.81	1
43.06	100
53.42	3
62.53	15
70.84	1
70.96	3
78.88	15
79.00	15

This entry pairs a crystal structure of TaCuPtRh with its calculated XRD peak list. Radiation: Cu Kα (λ = 1.5418 Å). Structure: a PBE-relaxed structure.
Lines closer than 0.1° are merged.

Structure:
```
4
Lattice="-1.987 1.987 3.755 1.987 -1.987 3.755 1.987 1.987 -3.755" Properties=species:S:1:pos:R:3 pbc="T T T"
Ta 0.000 0.000 0.000
Cu 0.000 0.000 3.755
Pt 1.987 0.000 1.878
Rh 0.000 1.987 1.878
```

The 12 most intense peaks (15° ≤ 2θ ≤ 90°), sorted by position:
2θ (°)	I_rel
25.36	21
40.08	100
42.69	6
45.66	34
48.48	14
52.94	6
64.28	4
66.55	13
68.79	20
80.62	26
84.79	12
86.52	11